Diffraction record for KLaNbCrO6. The powder XRD pattern is simulated, not measured: it uses a DFT-relaxed cell (GGA+U, Alexandria) and Cu Kα, 1.54184 Å.
Intensities are scaled so that the largest is 100.

Largest 10 diffraction maxima, in order of falling intensity, 5 to 70 degrees two-theta:
Position (°2θ), I (rel.)
31.69, 100
56.45, 38
45.43, 36
19.25, 28
66.20, 21
37.35, 16
49.77, 8
39.07, 7
60.21, 6
69.65, 6

Structural model:
```
KLaNbCrO6
1.0
0.0000 3.9931 3.9931
3.9931 0.0000 3.9931
3.9931 3.9931 0.0000
K La Nb Cr O
1 1 1 1 6
Direct
0.0000 0.0000 0.0000 K
0.5000 0.5000 0.5000 La
0.7500 0.7500 0.7500 Nb
0.2500 0.2500 0.2500 Cr
0.0004 0.0004 0.4996 O
0.0004 0.4996 0.0004 O
0.0004 0.4996 0.4996 O
0.4996 0.0004 0.0004 O
0.4996 0.0004 0.4996 O
0.4996 0.4996 0.0004 O
```